(1)
# YBeIn
Calculated powder XRD pattern, a wavelength of 1.5418 Å. Input: a crystal structure in Alexandria, relaxed with GGA-PBE.
No peak broadening, texture or thermal motion is included.

Atomic structure:
a = 7.7822 Å, b = 7.7822 Å, c = 7.7822 Å
α = 33.51°, β = 33.51°, γ = 33.51°
Fractional positions:
Y (0.0000, 0.0000, 0.0000)
Y (0.1671, 0.1671, 0.1671)
Be (0.2934, 0.2934, 0.2934)
Be (0.4031, 0.4031, 0.4031)
In (0.5859, 0.5859, 0.5859)
In (0.7499, 0.7499, 0.7499)

The 10 most intense peaks (2θ = 10–90°), low angle first:
- 24.29 deg, intensity 48
- 30.69 deg, intensity 100
- 36.76 deg, intensity 65
- 40.19 deg, intensity 79
- 47.49 deg, intensity 16
- 51.40 deg, intensity 24
- 55.60 deg, intensity 19
- 65.75 deg, intensity 32
- 67.19 deg, intensity 20
- 70.80 deg, intensity 18

---

(2)
# NaPrBi2
Calculated powder XRD pattern, a wavelength of 1.5418 Å. Input: a crystal structure in Alexandria, relaxed with GGA-PBE.
No peak broadening, texture or thermal motion is included.

Atomic structure:
a = 4.5834 Å, b = 4.5834 Å, c = 11.9757 Å
α = 90.00°, β = 90.00°, γ = 90.00°
Fractional positions:
Na (0.2500, 0.7500, 0.0000)
Na (0.7500, 0.2500, 0.0000)
Pr (0.2500, 0.2500, 0.2823)
Pr (0.7500, 0.7500, 0.7177)
Bi (0.2500, 0.2500, 0.8038)
Bi (0.2500, 0.7500, 0.5000)
Bi (0.7500, 0.2500, 0.5000)
Bi (0.7500, 0.7500, 0.1962)

The 10 most intense peaks (2θ = 10–90°), low angle first:
- 22.27 deg, intensity 16
- 24.46 deg, intensity 23
- 28.53 deg, intensity 23
- 29.84 deg, intensity 15
- 31.39 deg, intensity 100
- 35.82 deg, intensity 24
- 39.31 deg, intensity 34
- 50.13 deg, intensity 14
- 54.23 deg, intensity 15
- 66.36 deg, intensity 24

---

(3)
# PmCo2SiC
Calculated powder XRD pattern, a wavelength of 1.5418 Å. Input: a crystal structure in Alexandria, relaxed with GGA-PBE.
No peak broadening, texture or thermal motion is included.

Atomic structure:
a = 5.6165 Å, b = 5.6165 Å, c = 6.7898 Å
α = 90.00°, β = 90.00°, γ = 140.23°
Fractional positions:
Pm (0.0541, 0.9459, 0.7500)
Pm (0.9459, 0.0541, 0.2500)
Co (0.3365, 0.6635, 0.5573)
Co (0.3365, 0.6635, 0.9427)
Co (0.6635, 0.3365, 0.0573)
Co (0.6635, 0.3365, 0.4427)
Si (0.2260, 0.7740, 0.2500)
Si (0.7740, 0.2260, 0.7500)
C (0.5000, 0.5000, 0.0000)
C (0.5000, 0.5000, 0.5000)

The 10 most intense peaks (2θ = 10–90°), low angle first:
- 31.32 deg, intensity 18
- 34.64 deg, intensity 30
- 36.44 deg, intensity 100
- 37.16 deg, intensity 37
- 43.48 deg, intensity 21
- 47.59 deg, intensity 18
- 53.79 deg, intensity 15
- 61.44 deg, intensity 14
- 65.15 deg, intensity 15
- 66.42 deg, intensity 11

---

(4)
# CaBe2AsH2
Calculated powder XRD pattern, a wavelength of 1.5418 Å. Input: a crystal structure in Alexandria, relaxed with GGA-PBE.
No peak broadening, texture or thermal motion is included.

Atomic structure:
a = 6.4855 Å, b = 4.3299 Å, c = 6.6314 Å
α = 90.00°, β = 113.41°, γ = 90.00°
Fractional positions:
Ca (0.2364, 0.2500, 0.4644)
Ca (0.7636, 0.7500, 0.5356)
Be (0.4018, 0.5007, 0.1099)
Be (0.4018, 0.9993, 0.1099)
Be (0.5982, 0.0007, 0.8901)
Be (0.5982, 0.4993, 0.8901)
As (0.2569, 0.7500, 0.7769)
As (0.7431, 0.2500, 0.2231)
H (0.2409, 0.2500, 0.1078)
H (0.3917, 0.7500, 0.2769)
H (0.6083, 0.2500, 0.7231)
H (0.7591, 0.7500, 0.8922)

The 10 most intense peaks (2θ = 10–90°), low angle first:
- 16.17 deg, intensity 100
- 25.24 deg, intensity 97
- 26.23 deg, intensity 33
- 30.03 deg, intensity 57
- 34.23 deg, intensity 79
- 34.67 deg, intensity 37
- 43.74 deg, intensity 35
- 44.10 deg, intensity 25
- 48.50 deg, intensity 29
- 52.25 deg, intensity 26